1.
Simulated X-ray diffraction stick pattern
Compound: TbPr4Tm15
Radiation: CuKα
Structure: a crystal structure in Alexandria, relaxed with GGA-PBE
Kinematic intensities with the Lorentz-polarization factor, no thermal factor.

Principal peaks in the range 2θ = 10–90°, low angle first:
| 2theta | intensity | hkl |
| --- | --- | --- |
| 30.96 | 100.0 | 1 1 5 |
| 35.83 | 34.0 | 2 0 0 |
| 36.03 | 16.7 | 0 0 10 |
| 51.58 | 12.1 | 2 2 0 |
| 51.72 | 23.9 | 2 0 10 |
| 61.38 | 28.7 | 3 1 5 |
| 61.64 | 14.1 | 1 1 15 |
| 64.52 | 12.3 | 2 2 10 |

```
data_TbPr4Tm15
_chemical_formula_sum 'Tb1 Pr4 Tm15'
_symmetry_space_group_name_H-M 'P 4/m m m'
_symmetry_Int_Tables_number 123
_symmetry_space_group_name_Hall '-P 4 2'
_cell_length_a 5.012
_cell_length_b 5.012
_cell_length_c 24.930
_cell_angle_alpha 90.00
_cell_angle_beta 90.00
_cell_angle_gamma 90.00
loop_
_atom_site_label
_atom_site_type_symbol
_atom_site_fract_x
_atom_site_fract_y
_atom_site_fract_z
Tb1 Tb 0.000 0.000 0.000
Pr1 Pr 0.000 0.000 0.199
Pr2 Pr 0.000 0.000 0.400
Tm1 Tm 0.000 0.500 0.098
Tm2 Tm 0.000 0.500 0.299
Tm3 Tm 0.000 0.500 0.500
Tm4 Tm 0.500 0.500 0.000
Tm5 Tm 0.500 0.500 0.199
Tm6 Tm 0.500 0.500 0.400
```

2.
Simulated X-ray diffraction stick pattern
Compound: Tb12PrTm7
Radiation: CuKα
Structure: a crystal structure in Alexandria, relaxed with GGA-PBE
Kinematic intensities with the Lorentz-polarization factor, no thermal factor.

Principal peaks in the range 2θ = 10–90°, low angle first:
| 2theta | intensity | hkl |
| --- | --- | --- |
| 29.35 | 28.0 | 0 1 5 |
| 30.95 | 33.6 | 0 3 3 |
| 31.72 | 100.0 | 1 3 1 |
| 32.10 | 48.3 | 2 1 4 |
| 33.04 | 22.9 | 2 0 5 |
| 33.22 | 51.1 | 4 -1 2 |
| 37.08 | 15.2 | 1 1 6 |
| 55.53 | 18.4 | 5 2 0 |

```
data_Tb12PrTm7
_chemical_formula_sum 'Tb36 Pr3 Tm21'
_symmetry_space_group_name_H-M 'R -3'
_symmetry_Int_Tables_number 148
_symmetry_space_group_name_Hall '-R 3'
_cell_length_a 11.9335
_cell_length_b 11.9335
_cell_length_c 15.9227
_cell_angle_alpha 90.00
_cell_angle_beta 90.00
_cell_angle_gamma 120.00
loop_
_atom_site_label
_atom_site_type_symbol
_atom_site_fract_x
_atom_site_fract_y
_atom_site_fract_z
Tb1 Tb 0.0207 0.5709 0.2192
Tb2 Tb 0.0525 0.8628 0.2928
Pr1 Pr 0.0000 0.0000 0.0000
Tm1 Tm 0.0000 0.0000 0.5000
Tm2 Tm 0.0466 0.4598 0.5838
```

3.
Simulated X-ray diffraction stick pattern
Compound: Tb3Pr2Tm2
Radiation: CuKα
Structure: a crystal structure in Alexandria, relaxed with GGA-PBE
Kinematic intensities with the Lorentz-polarization factor, no thermal factor.

Principal peaks in the range 2θ = 10–90°, low angle first:
| 2theta | intensity | hkl |
| --- | --- | --- |
| 29.39 | 32.3 | 0 2 0 |
| 30.34 | 34.2 | 0 2 1 |
| 30.52 | 70.2 | 1 0 -4 |
| 32.17 | 100.0 | 2 1 -1 |
| 32.43 | 98.2 | 1 1 3 |
| 42.88 | 23.1 | 1 2 -4 |
| 55.12 | 21.4 | 3 1 -5 |
| 55.62 | 25.4 | 0 1 7 |

```
data_Tb3Pr2Tm2
_chemical_formula_sum 'Tb6 Pr4 Tm4'
_symmetry_space_group_name_H-M 'P 1 21/c 1'
_symmetry_Int_Tables_number 14
_cell_length_a 6.273
_cell_length_b 6.077
_cell_length_c 12.244
_cell_angle_alpha 90.00
_cell_angle_beta 100.98
_cell_angle_gamma 90.00
loop_
_symmetry_equiv_pos_as_xyz
'x,y,z'
'-x,-y,-z'
'-x,y+1/2,-z+1/2'
'x,-y+1/2,z+1/2'
loop_
_atom_site_label
_atom_site_type_symbol
_atom_site_fract_x
_atom_site_fract_y
_atom_site_fract_z
Tb1 Tb 0.000 0.000 0.000
Tb2 Tb 0.439 0.074 0.859
Pr1 Pr 0.137 0.606 0.790
Tm1 Tm 0.289 0.041 0.566
```

4.
Simulated X-ray diffraction stick pattern
Compound: Tb4Pr3Tm3
Radiation: CuKα
Structure: a crystal structure in Alexandria, relaxed with GGA-PBE
Kinematic intensities with the Lorentz-polarization factor, no thermal factor.

Principal peaks in the range 2θ = 10–90°, low angle first:
| 2theta | intensity | hkl |
| --- | --- | --- |
| 29.84 | 64.0 | 0 2 4 |
| 30.02 | 64.6 | 0 4 2 |
| 30.63 | 60.5 | 1 2 2 |
| 32.05 | 100.0 | 1 1 3 |
| 32.15 | 93.9 | 1 3 1 |
| 49.07 | 26.2 | 2 0 0 |
| 55.35 | 24.7 | 0 8 0 |
| 58.62 | 29.7 | 0 6 6 |

```
data_Tb4Pr3Tm3
_chemical_formula_sum 'Tb8 Pr6 Tm6'
_symmetry_space_group_name_H-M 'A m m 2'
_symmetry_Int_Tables_number 38
_cell_length_a 3.713
_cell_length_b 13.288
_cell_length_c 13.415
_cell_angle_alpha 90.00
_cell_angle_beta 90.00
_cell_angle_gamma 90.00
loop_
_symmetry_equiv_pos_as_xyz
'x,y,z'
'-x,-y,z'
'-x,y,z'
'x,-y,z'
'x,y+1/2,z+1/2'
'-x,-y+1/2,z+1/2'
'-x,y+1/2,z+1/2'
'x,-y+1/2,z+1/2'
loop_
_atom_site_label
_atom_site_type_symbol
_atom_site_fract_x
_atom_site_fract_y
_atom_site_fract_z
Tb1 Tb 0.000 0.000 0.000
Tb2 Tb 0.000 0.000 0.256
Tb3 Tb 0.000 0.126 0.633
Pr1 Pr 0.500 0.000 0.457
Pr2 Pr 0.500 0.173 0.128
Tm1 Tm 0.000 0.245 0.877
Tm2 Tm 0.500 0.000 0.803
```

5.
Simulated X-ray diffraction stick pattern
Compound: Tb4Pr4Tm
Radiation: CuKα
Structure: a crystal structure in Alexandria, relaxed with GGA-PBE
Kinematic intensities with the Lorentz-polarization factor, no thermal factor.

Principal peaks in the range 2θ = 10–90°, low angle first:
| 2theta | intensity | hkl |
| --- | --- | --- |
| 30.22 | 100.0 | 3 1 0 |
| 34.94 | 34.0 | 2 0 3 |
| 35.23 | 16.6 | 4 0 -3 |
| 50.24 | 12.2 | 2 2 3 |
| 50.42 | 18.1 | 4 2 -3 |
| 59.72 | 21.7 | 3 3 0 |
| 59.86 | 7.2 | 5 1 3 |
| 60.07 | 7.1 | 5 1 -6 |

```
data_Tb4Pr4Tm
_chemical_formula_sum 'Tb8 Pr8 Tm2'
_symmetry_space_group_name_H-M 'C 1 2/m 1'
_symmetry_Int_Tables_number 12
_cell_length_a 11.394
_cell_length_b 5.140
_cell_length_c 10.869
_cell_angle_alpha 90.00
_cell_angle_beta 108.12
_cell_angle_gamma 90.00
loop_
_symmetry_equiv_pos_as_xyz
'x,y,z'
'-x,-y,-z'
'-x,y,-z'
'x,-y,z'
'x+1/2,y+1/2,z'
'-x+1/2,-y+1/2,-z'
'-x+1/2,y+1/2,-z'
'x+1/2,-y+1/2,z'
loop_
_atom_site_label
_atom_site_type_symbol
_atom_site_fract_x
_atom_site_fract_y
_atom_site_fract_z
Tb1 Tb 0.166 0.000 0.054
Tb2 Tb 0.168 0.000 0.724
Pr1 Pr 0.001 0.500 0.832
Pr2 Pr 0.167 0.000 0.389
Tm1 Tm 0.000 0.500 0.500
```

6.
Simulated X-ray diffraction stick pattern
Compound: Tb2Pr4YTm2
Radiation: CuKα
Structure: a crystal structure in Alexandria, relaxed with GGA-PBE
Kinematic intensities with the Lorentz-polarization factor, no thermal factor.

Principal peaks in the range 2θ = 10–90°, low angle first:
| 2theta | intensity | hkl |
| --- | --- | --- |
| 30.27 | 100.0 | 3 1 1 |
| 35.05 | 33.8 | 0 2 0 |
| 35.17 | 16.7 | 0 0 3 |
| 50.44 | 24.1 | 6 0 2 |
| 50.53 | 12.0 | 0 2 3 |
| 59.88 | 14.3 | 9 1 0 |
| 60.02 | 21.4 | 3 3 1 |
| 62.95 | 12.3 | 6 2 2 |

```
data_Tb2Pr4YTm2
_chemical_formula_sum 'Tb4 Pr8 Y2 Tm4'
_symmetry_space_group_name_H-M 'C 1 2/m 1'
_symmetry_Int_Tables_number 12
_cell_length_a 15.379
_cell_length_b 5.115
_cell_length_c 8.072
_cell_angle_alpha 90.00
_cell_angle_beta 108.48
_cell_angle_gamma 90.00
loop_
_symmetry_equiv_pos_as_xyz
'x,y,z'
'-x,-y,-z'
'-x,y,-z'
'x,-y,z'
'x+1/2,y+1/2,z'
'-x+1/2,-y+1/2,-z'
'-x+1/2,y+1/2,-z'
'x+1/2,-y+1/2,z'
loop_
_atom_site_label
_atom_site_type_symbol
_atom_site_fract_x
_atom_site_fract_y
_atom_site_fract_z
Tb1 Tb 0.112 0.000 0.170
Pr1 Pr 0.054 0.500 0.831
Pr2 Pr 0.223 0.000 0.831
Y1 Y 0.000 0.000 0.500
Tm1 Tm 0.168 0.500 0.499
```